Diffraction record for PrMg9Cu3. The powder diffraction line list is computed, not measured: it uses a crystal structure in Alexandria, relaxed with GGA-PBE and Cu Kα.
Kinematic intensities with the Lorentz-polarization factor, no thermal factor.

Atomic structure:
a = 7.518 Å, b = 7.518 Å, c = 7.399 Å
α = 97.21°, β = 97.21°, γ = 137.74°
Fractional coordinates of all 13 atoms:
1 Pr 0.000 0.000 0.000
2 Mg 0.000 0.000 0.500
3 Mg 0.015 0.657 0.666
4 Mg 0.296 0.518 0.790
5 Mg 0.343 0.985 0.334
6 Mg 0.482 0.704 0.210
7 Mg 0.518 0.296 0.790
8 Mg 0.657 0.015 0.666
9 Mg 0.704 0.482 0.210
10 Mg 0.985 0.343 0.334
11 Cu 0.000 0.500 0.000
12 Cu 0.500 0.000 0.000
13 Cu 0.500 0.500 0.500

Top 12 peaks for 10° ≤ 2θ ≤ 80°, low angle first:
d/Å, intensity
6.936, 69
4.722, 51
3.506, 38
3.442, 39
3.420, 33
2.828, 48
2.466, 100
2.454, 39
2.448, 39
2.414, 34
2.389, 70
2.361, 67